Theoretical X-ray diffraction stick pattern
Compound: SrLi2Bi
Radiation: copper Kα
Structure: a structure optimized by DFT (GGA-PBE)
Peak positions follow from Bragg's law for the DFT cell and can differ from measured ones.

Most intense lines, 5 to 70 degrees two-theta, sorted by position:
2θ (°)	d_spacing	I_rel
7.97	11.086	100.0
15.99	5.543	42.8
24.89	3.578	68.8
26.92	3.312	83.2
31.47	2.843	38.7
36.43	2.466	44.8
38.44	2.342	35.3
45.25	2.004	38.0

Cell and atoms:
Cell lengths 4.6835, 4.6835, 11.0865 Å; angles 90.00, 90.00, 90.00 degrees
Fractional coordinates of all 8 atoms:
Sr  0.2500  0.2500  0.2398
Sr  0.7500  0.7500  0.7602
Li  0.2500  0.2500  0.5814
Li  0.2500  0.7500  0.0000
Li  0.7500  0.2500  0.0000
Li  0.7500  0.7500  0.4186
Bi  0.2500  0.2500  0.8421
Bi  0.7500  0.7500  0.1579



Theoretical X-ray diffraction stick pattern
Compound: NaCd3Pd
Radiation: copper Kα
Structure: a structure optimized by DFT (GGA-PBE)
Peak positions follow from Bragg's law for the DFT cell and can differ from measured ones.

Most intense lines, 5 to 70 degrees two-theta, sorted by position:
2θ (°)	d_spacing	I_rel
14.12	6.271	30.0
20.02	4.436	46.3
31.90	2.805	68.9
35.05	2.560	27.3
40.68	2.218	100.0
43.28	2.091	16.6
58.89	1.568	16.8
60.90	1.521	15.6

Cell and atoms:
Cell lengths 4.4363, 4.4363, 6.2705 Å; angles 90.00, 90.00, 90.00 degrees
Fractional coordinates of all 5 atoms:
Na  0.0000  0.0000  0.0000
Cd  0.0000  0.5000  0.4398
Cd  0.5000  0.0000  0.4398
Cd  0.5000  0.5000  0.7631
Pd  0.5000  0.5000  0.1847